Record 1
Simulated X-ray diffraction stick pattern
Compound: SnRuO4
Radiation: Cu Kα, 1.54184 Å
Structure: a PBE-relaxed structure
No peak broadening, texture or thermal motion is included.

Structural model:
```
SnRuO4
1.0
-3.309 3.309 3.216
3.309 -3.309 3.216
3.309 3.309 -3.216
Sn Ru O
2 2 8
Direct
0.000 0.000 0.000
0.750 0.250 0.500
0.252 0.752 0.500
0.502 0.502 0.000
0.211 0.512 0.699
0.262 0.063 0.801
0.262 0.461 0.199
0.305 0.996 0.309
0.688 0.996 0.691
0.746 0.555 0.809
0.746 0.938 0.191
0.813 0.512 0.301
```

Main lines, sorted by position (10° ≤ 2θ ≤ 90°):
- 26.9°, d 3.309, intensity 100.0
- 33.8°, d 2.651, intensity 83.4
- 38.5°, d 2.340, intensity 22.0
- 52.1°, d 1.754, intensity 68.7
- 55.5°, d 1.654, intensity 16.5
- 62.8°, d 1.480, intensity 15.2
- 64.4°, d 1.446, intensity 16.9
- 66.6°, d 1.403, intensity 20.6
- 79.7°, d 1.204, intensity 13.6
- 83.9°, d 1.153, intensity 9.9


Record 2
Simulated X-ray diffraction stick pattern
Compound: HfSi4Rh6
Radiation: Cu Kα, 1.54184 Å
Structure: a PBE-relaxed structure
No peak broadening, texture or thermal motion is included.

Structural model:
```
HfSi4Rh6
1.0
7.002 0.000 0.000
-3.501 6.064 0.000
0.000 0.000 3.713
Hf Si Rh
1 4 6
Direct
0.000 0.000 0.000
0.333 0.667 0.000
0.396 0.198 0.500
0.802 0.198 0.500
0.802 0.604 0.500
0.193 0.387 0.500
0.193 0.807 0.500
0.533 0.066 0.000
0.533 0.467 0.000
0.613 0.807 0.500
0.934 0.467 0.000
```

Main lines, sorted by position (10° ≤ 2θ ≤ 90°):
- 28.2°, d 3.167, intensity 14.9
- 29.5°, d 3.032, intensity 21.1
- 35.2°, d 2.547, intensity 17.1
- 38.3°, d 2.348, intensity 100.0
- 39.3°, d 2.292, intensity 25.1
- 49.1°, d 1.857, intensity 16.9
- 52.3°, d 1.750, intensity 20.7
- 64.6°, d 1.443, intensity 11.5
- 72.6°, d 1.303, intensity 12.4
- 74.5°, d 1.274, intensity 14.3


Record 3
Simulated X-ray diffraction stick pattern
Compound: Ac3ZnSi
Radiation: Cu Kα, 1.54184 Å
Structure: a PBE-relaxed structure
No peak broadening, texture or thermal motion is included.

Structural model:
```
Ac3ZnSi
1.0
4.749 0.000 0.000
0.000 9.991 0.000
0.000 0.000 6.977
Ac Zn Si
6 2 2
Direct
0.250 0.052 0.226
0.250 0.250 0.737
0.250 0.448 0.226
0.750 0.552 0.774
0.750 0.750 0.263
0.750 0.948 0.774
0.250 0.750 0.586
0.750 0.250 0.414
0.250 0.750 0.960
0.750 0.250 0.040
```

Main lines, sorted by position (10° ≤ 2θ ≤ 90°):
- 20.7°, d 4.289, intensity 19.8
- 25.5°, d 3.489, intensity 30.4
- 28.9°, d 3.087, intensity 100.0
- 29.7°, d 3.006, intensity 35.9
- 33.1°, d 2.706, intensity 32.1
- 37.9°, d 2.375, intensity 19.2
- 47.2°, d 1.927, intensity 14.1
- 47.7°, d 1.907, intensity 13.9
- 48.9°, d 1.863, intensity 18.9
- 56.5°, d 1.629, intensity 20.6


Record 4
Simulated X-ray diffraction stick pattern
Compound: Li2Dy3Pt5
Radiation: Cu Kα, 1.54184 Å
Structure: a PBE-relaxed structure
No peak broadening, texture or thermal motion is included.

Structural model:
```
Li2Dy3Pt5
1.0
9.740 0.000 0.000
0.000 9.740 0.000
0.000 0.000 3.739
Li Dy Pt
4 6 10
Direct
0.120 0.380 0.000
0.380 0.880 0.000
0.620 0.120 0.000
0.880 0.620 0.000
0.000 0.000 0.000
0.175 0.675 0.000
0.325 0.175 0.000
0.500 0.500 0.000
0.675 0.825 0.000
0.825 0.325 0.000
0.000 0.500 0.500
0.070 0.216 0.500
0.216 0.930 0.500
0.284 0.430 0.500
0.430 0.716 0.500
0.500 0.000 0.500
0.570 0.284 0.500
0.716 0.570 0.500
0.784 0.070 0.500
0.930 0.784 0.500
```

Main lines, sorted by position (10° ≤ 2θ ≤ 90°):
- 23.8°, d 3.739, intensity 18.9
- 31.5°, d 2.837, intensity 68.8
- 35.4°, d 2.533, intensity 35.2
- 37.8°, d 2.377, intensity 100.0
- 38.1°, d 2.362, intensity 61.1
- 41.2°, d 2.190, intensity 32.8
- 41.5°, d 2.178, intensity 33.6
- 48.7°, d 1.869, intensity 27.5
- 63.5°, d 1.466, intensity 27.9
- 73.2°, d 1.292, intensity 23.2


Record 5
Simulated X-ray diffraction stick pattern
Compound: TbHo3Se6
Radiation: Cu Kα, 1.54184 Å
Structure: a PBE-relaxed structure
No peak broadening, texture or thermal motion is included.

Structural model:
```
TbHo3Se6
1.0
11.541 0.000 0.000
0.000 4.089 0.000
-3.876 0.000 11.171
Tb Ho Se
2 6 12
Direct
0.044 0.250 0.193
0.956 0.750 0.807
0.159 0.250 0.583
0.317 0.750 0.998
0.433 0.250 0.333
0.567 0.750 0.667
0.683 0.250 0.002
0.841 0.750 0.417
0.083 0.750 0.402
0.112 0.250 0.965
0.193 0.750 0.750
0.254 0.750 0.223
0.396 0.250 0.562
0.480 0.250 0.115
0.520 0.750 0.885
0.604 0.750 0.438
0.746 0.250 0.777
0.807 0.250 0.250
0.888 0.750 0.035
0.917 0.250 0.598
```

Main lines, sorted by position (10° ≤ 2θ ≤ 90°):
- 22.6°, d 3.941, intensity 50.7
- 23.1°, d 3.846, intensity 77.1
- 25.4°, d 3.501, intensity 54.1
- 29.9°, d 2.985, intensity 100.0
- 30.8°, d 2.901, intensity 47.6
- 33.0°, d 2.717, intensity 75.1
- 40.5°, d 2.225, intensity 77.2
- 42.2°, d 2.142, intensity 48.1
- 44.3°, d 2.044, intensity 97.9
- 44.9°, d 2.019, intensity 38.2


Record 6
Simulated X-ray diffraction stick pattern
Compound: KSrLiI4
Radiation: Cu Kα, 1.54184 Å
Structure: a PBE-relaxed structure
No peak broadening, texture or thermal motion is included.

Structural model:
```
KSrLiI4
1.0
7.804 0.000 0.000
0.000 8.174 0.000
-2.936 0.000 9.203
K Sr Li I
2 2 2 8
Direct
0.241 0.250 0.056
0.759 0.750 0.944
0.221 0.250 0.555
0.779 0.750 0.445
0.242 0.750 0.319
0.758 0.250 0.681
0.005 0.502 0.726
0.005 0.998 0.726
0.446 0.750 0.138
0.457 0.750 0.597
0.543 0.250 0.403
0.554 0.250 0.862
0.995 0.002 0.274
0.995 0.498 0.274
```

Main lines, sorted by position (10° ≤ 2θ ≤ 90°):
- 22.2°, d 4.005, intensity 26.7
- 23.9°, d 3.717, intensity 26.4
- 24.9°, d 3.582, intensity 100.0
- 25.7°, d 3.469, intensity 33.2
- 25.8°, d 3.449, intensity 36.4
- 27.9°, d 3.194, intensity 41.3
- 28.1°, d 3.178, intensity 34.2
- 29.2°, d 3.053, intensity 81.2
- 37.2°, d 2.415, intensity 30.5
- 42.2°, d 2.141, intensity 23.2